The following is a computed powder diffraction line list of Ge2PtAu. It was derived from a structure optimized by DFT (PBE), using Cu Kα X-rays.

The 12 most intense peaks (2θ from 5° to 70°), in order of rising 2θ:
index  2θ (°)  intensity
0 0 6  21.3  32
1 0 1  31.3  9
0 1 2  31.9  100
1 0 4  34.3  31
0 1 5  36.0  8
0 1 8  42.7  43
0 0 12  43.3  15
1 0 10  48.2  49
1 1 0  55.3  32
1 1 6  59.9  13
0 1 14  61.0  7
2 0 2  65.3  13

Cell and atoms:
```
Ge2PtAu
1.0
3.3213 0.0000 0.0000
-1.6607 2.8763 0.0000
0.0000 0.0000 25.0586
Ge Pt Au
6 3 3
Direct
0.0000 0.0000 0.0988
0.0000 0.0000 0.9012
0.3333 0.6667 0.5678
0.3333 0.6667 0.7655
0.6667 0.3333 0.2345
0.6667 0.3333 0.4322
0.0000 0.0000 0.5000
0.3333 0.6667 0.1667
0.6667 0.3333 0.8333
0.0000 0.0000 0.0000
0.3333 0.6667 0.6667
0.6667 0.3333 0.3333
```